Starting from a DFT-relaxed cell (GGA-PBE, OQMD), the X-ray powder pattern of Nd2FeSn6 was calculated for λ = 1.5418 Å (Cu Kα).
No peak broadening, texture or thermal motion is included.

```
data_Nd2FeSn6
_chemical_formula_sum 'Nd4 Fe2 Sn12'
_cell_length_a 4.434
_cell_length_b 23.381
_cell_length_c 4.516
_cell_angle_alpha 90.00
_cell_angle_beta 90.00
_cell_angle_gamma 90.00
_symmetry_space_group_name_H-M 'C m m m'
_symmetry_Int_Tables_number 65
_symmetry_space_group_name_Hall '-C 2 2'
loop_
_atom_site_label
_atom_site_fract_x
_atom_site_fract_y
_atom_site_fract_z
_atom_site_occupancy
Nd1 0.000 0.175 0.000 1
Fe1 0.000 0.500 0.500 1
Sn1 0.000 0.067 0.500 1
Sn2 0.000 0.293 0.500 1
Sn3 0.000 0.433 0.000 1
```

Principal peaks in the range 2θ from 10° to 90°, most intense first:
(hkl)  2theta  I/Imax
0 8 0  30.52  100
1 5 1  34.22  92
0 0 2  39.92  31
2 0 0  40.69  30
2 0 2  58.32  21
0 8 2  51.10  21
2 8 0  51.77  21
2 8 2  67.29  19
1 7 1  39.22  14
1 5 3  68.86  12
0 4 1  24.91  12
3 5 1  69.92  12

Starting from a DFT-relaxed cell (GGA-PBE, OQMD), the X-ray powder pattern of BaAg2GeSe3S was calculated for λ = 1.5418 Å (Cu Kα).
No peak broadening, texture or thermal motion is included.

```
data_BaAg2GeSe3S
_chemical_formula_sum 'Ba1 Ag2 Ge1 Se3 S1'
_cell_length_a 6.557
_cell_length_b 6.573
_cell_length_c 6.603
_cell_angle_alpha 111.90
_cell_angle_beta 115.66
_cell_angle_gamma 100.72
_symmetry_space_group_name_H-M 'P 1'
_symmetry_Int_Tables_number 1
_symmetry_space_group_name_Hall 'P 1'
loop_
_atom_site_label
_atom_site_fract_x
_atom_site_fract_y
_atom_site_fract_z
_atom_site_occupancy
Ba1 0.000 0.000 0.000 1
Ag1 0.185 0.690 0.492 1
Ag2 0.817 0.318 0.511 1
Ge1 0.485 0.503 0.999 1
Se1 0.466 0.472 0.617 1
Se2 0.529 0.153 0.010 1
Se3 0.847 0.855 0.381 1
S1 0.143 0.522 0.990 1
```

Principal peaks in the range 2θ from 10° to 90°, most intense first:
(hkl)  2theta  I/Imax
1 1 -2  27.53  100
2 0 -1  27.68  89
2 -2 0  35.56  51
0 0 2  35.11  45
1 2 -1  34.34  42
0 1 1  29.22  32
1 -3 2  46.31  25
0 2 -3  46.04  24
-1 1 1  24.13  22
1 -2 0  29.50  21
1 -1 1  25.43  18
0 1 -1  16.50  17

Starting from a DFT-relaxed cell (GGA-PBE, OQMD), the X-ray powder pattern of ErTm2NiIr2Pb3 was calculated for λ = 1.5418 Å (Cu Kα).
No peak broadening, texture or thermal motion is included.

```
data_ErTm2NiIr2Pb3
_chemical_formula_sum 'Er2 Tm4 Ni2 Ir4 Pb6'
_cell_length_a 3.706
_cell_length_b 13.400
_cell_length_c 7.728
_cell_angle_alpha 90.00
_cell_angle_beta 90.00
_cell_angle_gamma 90.00
_symmetry_space_group_name_H-M 'A m m 2'
_symmetry_Int_Tables_number 38
_symmetry_space_group_name_Hall 'A 2 -2'
loop_
_atom_site_label
_atom_site_fract_x
_atom_site_fract_y
_atom_site_fract_z
_atom_site_occupancy
Er1 0.000 0.000 0.000 1
Tm1 0.000 0.204 0.611 1
Ni1 0.000 0.000 0.408 1
Ir1 0.500 0.167 0.907 1
Pb1 0.500 0.000 0.666 1
Pb2 0.500 0.129 0.278 1
```

Principal peaks in the range 2θ from 10° to 90°, most intense first:
(hkl)  2theta  I/Imax
1 0 2  33.50  100
1 2 2  36.16  69
0 5 1  35.47  63
0 3 3  40.41  39
1 8 2  65.81  32
1 5 1  43.29  26
2 5 1  62.08  26
2 0 0  49.17  21
2 3 3  65.47  19
1 3 5  69.10  11
1 7 1  55.33  11
1 0 0  24.01  10

Starting from a DFT-relaxed cell (GGA-PBE, OQMD), the X-ray powder pattern of U was calculated for λ = 1.5418 Å (Cu Kα).
No peak broadening, texture or thermal motion is included.

```
data_U
_chemical_formula_sum 'U8'
_cell_length_a 5.848
_cell_length_b 4.880
_cell_length_c 5.716
_cell_angle_alpha 90.00
_cell_angle_beta 90.00
_cell_angle_gamma 90.00
_symmetry_space_group_name_H-M 'P n m a'
_symmetry_Int_Tables_number 62
_symmetry_space_group_name_Hall '-P 2ac 2n'
loop_
_atom_site_label
_atom_site_fract_x
_atom_site_fract_y
_atom_site_fract_z
_atom_site_occupancy
U1 0.147 0.250 0.144 1
U2 0.152 0.250 0.605 1
```

Principal peaks in the range 2θ from 10° to 90°, most intense first:
(hkl)  2theta  I/Imax
2 1 0  35.80  100
1 0 2  34.94  72
1 1 2  39.66  55
0 2 0  36.84  51
1 2 2  51.68  49
3 1 2  60.54  42
2 1 4  76.76  19
2 3 0  65.68  18
3 3 2  84.69  18
1 4 2  88.79  12
1 3 2  68.25  12
0 2 4  77.39  10

Starting from a DFT-relaxed cell (GGA-PBE, OQMD), the X-ray powder pattern of LaH6Au3C6N6O3 was calculated for λ = 1.5418 Å (Cu Kα).
No peak broadening, texture or thermal motion is included.

```
data_LaH6Au3C6N6O3
_chemical_formula_sum 'La2 H12 Au6 C12 N12 O6'
_cell_length_a 6.3394
_cell_length_b 6.3394
_cell_length_c 19.2623
_cell_angle_alpha 90.00
_cell_angle_beta 90.00
_cell_angle_gamma 120.00
_symmetry_space_group_name_H-M 'P 63/m c m'
_symmetry_Int_Tables_number 193
_symmetry_space_group_name_Hall '-P 6c 2'
loop_
_atom_site_label
_atom_site_fract_x
_atom_site_fract_y
_atom_site_fract_z
_atom_site_occupancy
La1 0.0000 0.0000 0.2500 1
H1 0.0000 0.4832 0.2090 1
Au1 0.0000 0.5000 0.0000 1
C1 0.0000 0.3643 0.5931 1
N1 0.0000 0.2839 0.6480 1
O1 0.0000 0.3901 0.2500 1
```

Principal peaks in the range 2θ from 10° to 90°, most intense first:
(hkl)  2theta  I/Imax
1 0 2  18.60  100
2 0 4  37.72  93
0 0 4  18.42  67
2 0 0  32.62  67
2 0 2  33.96  41
2 0 8  50.41  38
2 2 4  61.62  30
1 1 2  29.67  29
1 0 6  32.30  23
2 1 2  44.67  21
2 0 6  43.37  18
0 0 8  37.35  18

Starting from a DFT-relaxed cell (GGA-PBE, OQMD), the X-ray powder pattern of AcMg2Cu2 was calculated for λ = 1.5418 Å (Cu Kα).
No peak broadening, texture or thermal motion is included.

```
data_AcMg2Cu2
_chemical_formula_sum 'Ac2 Mg4 Cu4'
_cell_length_a 5.0099
_cell_length_b 5.0099
_cell_length_c 11.0888
_cell_angle_alpha 90.00
_cell_angle_beta 90.00
_cell_angle_gamma 120.00
_symmetry_space_group_name_H-M 'P 63/m m c'
_symmetry_Int_Tables_number 194
_symmetry_space_group_name_Hall '-P 6c 2c'
loop_
_atom_site_label
_atom_site_fract_x
_atom_site_fract_y
_atom_site_fract_z
_atom_site_occupancy
Ac1 0.0000 0.0000 0.2500 1
Mg1 0.3333 0.6667 0.0108 1
Cu1 0.0000 0.0000 0.0000 1
Cu2 0.3333 0.6667 0.7500 1
```

Principal peaks in the range 2θ from 10° to 90°, most intense first:
(hkl)  2theta  I/Imax
1 0 0  20.47  100
1 1 0  35.85  80
1 1 4  49.01  65
1 0 2  26.08  43
1 0 4  38.54  42
0 0 4  32.29  35
0 0 2  15.99  31
1 1 2  39.48  21
3 0 4  73.92  19
2 1 4  66.21  17
2 0 0  41.63  17
2 0 4  53.65  16

Starting from a DFT-relaxed cell (GGA-PBE, OQMD), the X-ray powder pattern of CuHgC4S4N4 was calculated for λ = 1.5418 Å (Cu Kα).
No peak broadening, texture or thermal motion is included.

```
data_CuHgC4S4N4
_chemical_formula_sum 'Cu4 Hg4 C16 S16 N16'
_cell_length_a 8.844
_cell_length_b 7.714
_cell_length_c 15.124
_cell_angle_alpha 90.00
_cell_angle_beta 90.24
_cell_angle_gamma 90.00
_symmetry_space_group_name_H-M 'C 1 2/c 1'
_symmetry_Int_Tables_number 15
_symmetry_space_group_name_Hall '-C 2yc'
loop_
_atom_site_label
_atom_site_fract_x
_atom_site_fract_y
_atom_site_fract_z
_atom_site_occupancy
Cu1 0.000 0.000 0.000 1
Hg1 0.000 0.446 0.250 1
C1 0.139 0.204 0.661 1
C2 0.176 0.402 0.065 1
S1 0.003 0.343 0.090 1
S2 0.215 0.302 0.746 1
N1 0.092 0.134 0.598 1
N2 0.202 0.056 0.956 1
```

Principal peaks in the range 2θ from 10° to 90°, most intense first:
(hkl)  2theta  I/Imax
1 1 2  19.26  100
1 1 0  15.24  26
1 1 6  38.96  24
2 0 0  20.08  21
3 1 -2  34.66  19
2 2 1  31.34  18
2 2 -2  33.02  18
0 0 2  11.70  18
0 0 4  23.53  18
2 2 0  30.76  13
4 0 -4  47.54  13
0 2 4  33.16  13

Starting from a DFT-relaxed cell (GGA-PBE, OQMD), the X-ray powder pattern of Cs4PuGeSe6 was calculated for λ = 1.5418 Å (Cu Kα).
No peak broadening, texture or thermal motion is included.

```
data_Cs4PuGeSe6
_chemical_formula_sum 'Cs4 Pu1 Ge1 Se6'
_cell_length_a 7.605
_cell_length_b 8.483
_cell_length_c 9.747
_cell_angle_alpha 73.55
_cell_angle_beta 67.64
_cell_angle_gamma 63.62
_symmetry_space_group_name_H-M 'P 1'
_symmetry_Int_Tables_number 1
_symmetry_space_group_name_Hall 'P 1'
loop_
_atom_site_label
_atom_site_fract_x
_atom_site_fract_y
_atom_site_fract_z
_atom_site_occupancy
Cs1 0.000 0.000 0.000 1
Cs2 0.169 0.397 0.255 1
Cs3 0.398 0.757 0.454 1
Cs4 0.769 0.626 0.820 1
Pu1 0.693 0.150 0.462 1
Ge1 0.460 0.257 0.816 1
Se1 0.283 0.557 0.854 1
Se2 0.308 0.203 0.658 1
Se3 0.474 0.033 0.023 1
Se4 0.688 0.392 0.220 1
Se5 0.815 0.221 0.661 1
Se6 0.896 0.816 0.406 1
```

Principal peaks in the range 2θ from 10° to 90°, most intense first:
(hkl)  2theta  I/Imax
2 1 1  23.40  100
0 2 1  24.38  91
0 1 -2  24.56  80
1 -1 1  22.35  55
0 3 -1  38.60  51
1 0 1  14.25  46
2 1 -1  30.74  46
0 1 0  11.76  31
4 2 2  47.85  31
1 -1 2  27.41  22
2 1 3  31.06  22
2 2 3  32.30  19

Starting from a DFT-relaxed cell (GGA-PBE, OQMD), the X-ray powder pattern of LiRe3Sb5 was calculated for λ = 1.5418 Å (Cu Kα).
No peak broadening, texture or thermal motion is included.

```
data_LiRe3Sb5
_chemical_formula_sum 'Li1 Re3 Sb5'
_cell_length_a 5.5356
_cell_length_b 5.5356
_cell_length_c 8.4056
_cell_angle_alpha 90.00
_cell_angle_beta 90.00
_cell_angle_gamma 120.00
_symmetry_space_group_name_H-M 'P 6/m m m'
_symmetry_Int_Tables_number 191
_symmetry_space_group_name_Hall '-P 6 2'
loop_
_atom_site_label
_atom_site_fract_x
_atom_site_fract_y
_atom_site_fract_z
_atom_site_occupancy
Li1 0.0000 0.0000 0.0000 1
Re1 0.0000 0.5000 0.5000 1
Sb1 0.0000 0.0000 0.5000 1
Sb2 0.3333 0.6667 0.2213 1
```

Principal peaks in the range 2θ from 10° to 90°, most intense first:
(hkl)  2theta  I/Imax
0 0 1  10.52  100
2 0 2  43.46  48
2 0 1  39.08  40
1 0 0  18.51  24
1 1 2  38.96  21
0 0 3  31.94  19
1 1 0  32.35  12
2 0 3  50.08  12
2 0 5  68.13  11
0 0 4  43.04  11
2 2 0  67.71  11
2 2 4  83.67  10

Starting from a DFT-relaxed cell (GGA-PBE, OQMD), the X-ray powder pattern of NaAg2 was calculated for λ = 1.5418 Å (Cu Kα).
No peak broadening, texture or thermal motion is included.

```
data_NaAg2
_chemical_formula_sum 'Na8 Ag16'
_cell_length_a 5.6049
_cell_length_b 5.6049
_cell_length_c 18.3723
_cell_angle_alpha 90.00
_cell_angle_beta 90.00
_cell_angle_gamma 120.00
_symmetry_space_group_name_H-M 'P 63/m m c'
_symmetry_Int_Tables_number 194
_symmetry_space_group_name_Hall '-P 6c 2c'
loop_
_atom_site_label
_atom_site_fract_x
_atom_site_fract_y
_atom_site_fract_z
_atom_site_occupancy
Na1 0.0000 0.0000 0.0939 1
Na2 0.3333 0.6667 0.1559 1
Ag1 0.0000 0.5000 0.0000 1
Ag2 0.1641 0.3281 0.7500 1
Ag3 0.3333 0.6667 0.6250 1
```

Principal peaks in the range 2θ from 10° to 90°, most intense first:
(hkl)  2theta  I/Imax
1 1 4  37.60  100
2 0 2  38.36  100
1 0 1  18.91  82
2 0 3  39.96  55
0 0 4  19.33  49
0 0 8  39.23  44
1 0 2  20.70  37
2 0 6  47.82  35
2 0 5  44.75  33
2 2 0  66.76  31
2 2 8  80.26  30
1 0 6  34.64  27

Starting from a DFT-relaxed cell (GGA-PBE, OQMD), the X-ray powder pattern of TlZnPd2 was calculated for λ = 1.5418 Å (Cu Kα).
No peak broadening, texture or thermal motion is included.

```
data_TlZnPd2
_chemical_formula_sum 'Tl4 Zn4 Pd8'
_cell_length_a 6.494
_cell_length_b 6.494
_cell_length_c 6.494
_cell_angle_alpha 90.00
_cell_angle_beta 90.00
_cell_angle_gamma 90.00
_symmetry_space_group_name_H-M 'F -4 3 m'
_symmetry_Int_Tables_number 216
_symmetry_space_group_name_Hall 'F -4 2 3'
loop_
_atom_site_label
_atom_site_fract_x
_atom_site_fract_y
_atom_site_fract_z
_atom_site_occupancy
Tl1 0.000 0.000 0.000 1
Zn1 0.250 0.250 0.250 1
Pd1 0.000 0.000 0.500 1
Pd2 0.250 0.250 0.750 1
```

Principal peaks in the range 2θ from 10° to 90°, most intense first:
(hkl)  2theta  I/Imax
2 2 0  39.24  100
4 2 2  71.12  34
4 0 0  56.70  17
4 4 0  84.37  11
1 1 1  23.73  10
2 0 0  27.47  9
3 1 1  46.37  5
4 2 0  64.13  4
2 2 2  48.56  3
3 3 1  62.32  2
5 3 1  89.22  2
5 1 1  76.17  2

Starting from a DFT-relaxed cell (GGA-PBE, OQMD), the X-ray powder pattern of Ho7InCo4Ge12 was calculated for λ = 1.5418 Å (Cu Kα).
No peak broadening, texture or thermal motion is included.

```
data_Ho7InCo4Ge12
_chemical_formula_sum 'Ho7 In1 Co4 Ge12'
_cell_length_a 10.354
_cell_length_b 10.354
_cell_length_c 4.178
_cell_angle_alpha 90.00
_cell_angle_beta 90.00
_cell_angle_gamma 90.00
_symmetry_space_group_name_H-M 'P 4/m'
_symmetry_Int_Tables_number 83
_symmetry_space_group_name_Hall '-P 4'
loop_
_atom_site_label
_atom_site_fract_x
_atom_site_fract_y
_atom_site_fract_z
_atom_site_occupancy
Ho1 0.000 0.000 0.000 1
Ho2 0.000 0.500 0.500 1
Ho3 0.322 0.326 0.500 1
In1 0.500 0.500 0.000 1
Co1 0.117 0.722 0.000 1
Ge1 0.065 0.805 0.500 1
Ge2 0.113 0.285 0.000 1
Ge3 0.213 0.514 0.000 1
```

Principal peaks in the range 2θ from 10° to 90°, most intense first:
(hkl)  2theta  I/Imax
1 3 1  34.81  100
2 3 1  38.02  30
0 0 2  43.31  26
4 2 0  38.90  25
3 0 1  33.68  21
4 2 2  59.61  14
5 3 1  56.29  14
5 2 0  47.27  12
5 0 0  43.71  11
1 7 1  67.82  11
1 3 3  73.95  11
5 2 2  66.04  9

Which formula does entry 4 have? U